[1]
For Tm2In6Ni, DFT lattice parameters and positions (PBE) gives the computed XRD peak list in this record (CuKα).
No peak broadening, texture or thermal motion is included.

Principal peaks in the range 5 to 70 degrees two-theta, in order of rising 2θ:
- d = 3.096 Å, 28.83°, intensity 18.5
- d = 2.785 Å, 32.14°, intensity 19.9
- d = 2.771 Å, 32.31°, intensity 100.0
- d = 2.529 Å, 35.49°, intensity 31.3
- d = 2.375 Å, 37.89°, intensity 37.5
- d = 2.348 Å, 38.33°, intensity 37.5
- d = 2.262 Å, 39.85°, intensity 21.6
- d = 1.886 Å, 48.24°, intensity 19.2
- d = 1.477 Å, 62.92°, intensity 16.5
- d = 1.471 Å, 63.23°, intensity 16.7

Cell and atoms:
abc: 3.773 12.606 12.606
angles: 21.47 90.00 90.00
Sites, in units of the cell vectors:
Tm 0.000 0.000 0.000
Tm 0.000 0.332 0.332
In 0.000 0.621 0.621
In 0.000 0.745 0.745
In 0.500 0.103 0.103
In 0.500 0.221 0.221
In 0.500 0.442 0.442
In 0.500 0.871 0.871
Ni 0.500 0.544 0.544


[2]
For Pm6Al2O, DFT lattice parameters and positions (PBE) gives the computed XRD peak list in this record (CuKα).
No peak broadening, texture or thermal motion is included.

Principal peaks in the range 5 to 70 degrees two-theta, in order of rising 2θ:
- d = 4.933 Å, 17.98°, intensity 22.7
- d = 3.488 Å, 25.54°, intensity 14.6
- d = 2.848 Å, 31.41°, intensity 100.0
- d = 2.466 Å, 36.43°, intensity 54.1
- d = 2.206 Å, 40.91°, intensity 11.3
- d = 2.014 Å, 45.02°, intensity 6.7
- d = 1.744 Å, 52.47°, intensity 37.8
- d = 1.644 Å, 55.92°, intensity 5.6
- d = 1.487 Å, 62.44°, intensity 42.1
- d = 1.424 Å, 65.56°, intensity 12.8

Cell and atoms:
abc: 6.976 6.976 6.976
angles: 60.00 60.00 60.00
Sites, in units of the cell vectors:
Pm 0.248 0.248 0.752
Pm 0.248 0.752 0.248
Pm 0.248 0.752 0.752
Pm 0.752 0.248 0.248
Pm 0.752 0.248 0.752
Pm 0.752 0.752 0.248
Al 0.250 0.250 0.250
Al 0.750 0.750 0.750
O 0.000 0.000 0.000


[3]
For KSmSeCl, DFT lattice parameters and positions (PBE) gives the computed XRD peak list in this record (CuKα).
No peak broadening, texture or thermal motion is included.

Principal peaks in the range 5 to 70 degrees two-theta, in order of rising 2θ:
- d = 7.902 Å, 11.20°, intensity 84.1
- d = 3.417 Å, 26.08°, intensity 62.1
- d = 2.851 Å, 31.38°, intensity 100.0
- d = 2.456 Å, 36.58°, intensity 39.3
- d = 2.060 Å, 43.95°, intensity 41.3
- d = 1.993 Å, 45.50°, intensity 17.4
- d = 1.975 Å, 45.96°, intensity 36.0
- d = 1.670 Å, 54.99°, intensity 19.4
- d = 1.579 Å, 58.45°, intensity 13.1
- d = 1.426 Å, 65.46°, intensity 27.2

Cell and atoms:
abc: 4.120 4.120 23.706
angles: 90.00 90.00 120.00
Sites, in units of the cell vectors:
K 0.000 0.000 0.000
K 0.333 0.667 0.667
K 0.667 0.333 0.333
Sm 0.000 0.000 0.177
Sm 0.333 0.667 0.843
Sm 0.667 0.333 0.510
Se 0.000 0.000 0.579
Se 0.333 0.667 0.246
Se 0.667 0.333 0.913
Cl 0.000 0.000 0.767
Cl 0.333 0.667 0.433
Cl 0.667 0.333 0.100


[4]
For Sc3Sn3PdRu2, DFT lattice parameters and positions (PBE) gives the computed XRD peak list in this record (CuKα).
No peak broadening, texture or thermal motion is included.

Principal peaks in the range 5 to 70 degrees two-theta, in order of rising 2θ:
- d = 3.792 Å, 23.46°, intensity 40.2
- d = 3.461 Å, 25.74°, intensity 26.5
- d = 2.556 Å, 35.10°, intensity 100.0
- d = 2.482 Å, 36.19°, intensity 36.8
- d = 2.382 Å, 37.76°, intensity 80.5
- d = 2.189 Å, 41.24°, intensity 91.9
- d = 2.017 Å, 44.94°, intensity 61.5
- d = 1.731 Å, 52.91°, intensity 22.9
- d = 1.381 Å, 67.84°, intensity 45.4
- d = 1.358 Å, 69.20°, intensity 39.2

Cell and atoms:
abc: 7.583 7.583 3.461
angles: 90.00 90.00 120.00
Sites, in units of the cell vectors:
Sc 0.000 0.394 0.000
Sc 0.394 0.000 0.000
Sc 0.606 0.606 0.000
Sn 0.000 0.719 0.500
Sn 0.281 0.281 0.500
Sn 0.719 0.000 0.500
Pd 0.000 0.000 0.000
Ru 0.333 0.667 0.500
Ru 0.667 0.333 0.500


[5]
For TbNdGa6, DFT lattice parameters and positions (PBE) gives the computed XRD peak list in this record (CuKα).
No peak broadening, texture or thermal motion is included.

Principal peaks in the range 5 to 70 degrees two-theta, in order of rising 2θ:
- d = 3.533 Å, 25.21°, intensity 22.8
- d = 3.186 Å, 28.01°, intensity 9.5
- d = 2.759 Å, 32.45°, intensity 25.2
- d = 2.366 Å, 38.03°, intensity 100.0
- d = 2.300 Å, 39.17°, intensity 22.3
- d = 2.086 Å, 43.39°, intensity 8.4
- d = 1.766 Å, 51.75°, intensity 13.3
- d = 1.593 Å, 57.89°, intensity 15.9
- d = 1.545 Å, 59.87°, intensity 6.4
- d = 1.452 Å, 64.13°, intensity 7.0

Cell and atoms:
abc: 6.371 6.371 4.599
angles: 90.00 90.00 120.00
Sites, in units of the cell vectors:
Tb 0.000 0.000 0.000
Nd 0.667 0.333 0.500
Ga 0.047 0.523 0.000
Ga 0.187 0.375 0.500
Ga 0.187 0.813 0.500
Ga 0.477 0.523 0.000
Ga 0.477 0.953 0.000
Ga 0.625 0.813 0.500


[6]
For Cd2In2Cl7, DFT lattice parameters and positions (PBE) gives the computed XRD peak list in this record (CuKα).
No peak broadening, texture or thermal motion is included.

Principal peaks in the range 5 to 70 degrees two-theta, in order of rising 2θ:
- d = 4.607 Å, 19.27°, intensity 37.2
- d = 4.426 Å, 20.06°, intensity 100.0
- d = 4.084 Å, 21.76°, intensity 44.0
- d = 3.678 Å, 24.20°, intensity 37.1
- d = 3.127 Å, 28.55°, intensity 21.5
- d = 2.886 Å, 30.99°, intensity 20.0
- d = 2.600 Å, 34.49°, intensity 24.1
- d = 2.371 Å, 37.94°, intensity 26.3
- d = 2.170 Å, 41.61°, intensity 17.6
- d = 1.924 Å, 47.23°, intensity 19.6

Cell and atoms:
abc: 7.635 7.635 6.599
angles: 95.40 95.40 104.23
Sites, in units of the cell vectors:
Cd 0.000 0.000 0.000
Cd 0.523 0.523 0.168
In 0.045 0.439 0.599
In 0.439 0.045 0.599
Cl 0.113 0.113 0.370
Cl 0.191 0.818 0.829
Cl 0.309 0.309 0.877
Cl 0.336 0.671 0.384
Cl 0.671 0.336 0.384
Cl 0.720 0.720 0.954
Cl 0.818 0.191 0.829


[7]
For CaTb2Nd6Dy, DFT lattice parameters and positions (PBE) gives the computed XRD peak list in this record (CuKα).
No peak broadening, texture or thermal motion is included.

Principal peaks in the range 5 to 70 degrees two-theta, in order of rising 2θ:
- d = 3.198 Å, 27.90°, intensity 70.7
- d = 3.013 Å, 29.65°, intensity 56.6
- d = 2.979 Å, 29.99°, intensity 93.6
- d = 2.941 Å, 30.39°, intensity 51.4
- d = 2.911 Å, 30.71°, intensity 45.4
- d = 2.886 Å, 30.99°, intensity 100.0
- d = 2.856 Å, 31.32°, intensity 58.8
- d = 2.746 Å, 32.61°, intensity 60.7
- d = 2.736 Å, 32.73°, intensity 25.2
- d = 2.434 Å, 36.93°, intensity 26.2

Cell and atoms:
abc: 9.033 9.033 9.925
angles: 94.49 94.49 118.63
Sites, in units of the cell vectors:
Ca 0.098 0.902 0.750
Ca 0.902 0.098 0.250
Tb 0.202 0.302 0.957
Tb 0.302 0.202 0.457
Tb 0.698 0.798 0.543
Tb 0.798 0.698 0.043
Nd 0.001 0.212 0.623
Nd 0.070 0.528 0.177
Nd 0.212 0.001 0.123
Nd 0.264 0.615 0.552
Nd 0.385 0.736 0.948
Nd 0.472 0.930 0.323
Nd 0.528 0.070 0.677
Nd 0.615 0.264 0.052
Nd 0.736 0.385 0.448
Nd 0.788 0.999 0.877
Nd 0.930 0.472 0.823
Nd 0.999 0.788 0.377
Dy 0.474 0.526 0.250
Dy 0.526 0.474 0.750


[8]
For Ho2Er3Pb4, DFT lattice parameters and positions (PBE) gives the computed XRD peak list in this record (CuKα).
No peak broadening, texture or thermal motion is included.

Principal peaks in the range 5 to 70 degrees two-theta, in order of rising 2θ:
- d = 3.926 Å, 22.65°, intensity 15.9
- d = 2.929 Å, 30.52°, intensity 98.2
- d = 2.918 Å, 30.64°, intensity 21.7
- d = 2.686 Å, 33.36°, intensity 24.5
- d = 2.666 Å, 33.61°, intensity 100.0
- d = 2.647 Å, 33.87°, intensity 21.1
- d = 2.589 Å, 34.64°, intensity 29.7
- d = 2.457 Å, 36.58°, intensity 49.0
- d = 1.455 Å, 63.97°, intensity 16.0
- d = 1.396 Å, 67.03°, intensity 16.1

Cell and atoms:
abc: 8.501 8.501 6.780
angles: 104.55 104.55 33.59
Sites, in units of the cell vectors:
Ho 0.170 0.170 0.066
Ho 0.830 0.830 0.934
Er 0.387 0.387 0.411
Er 0.500 0.500 0.000
Er 0.613 0.613 0.589
Pb 0.010 0.010 0.283
Pb 0.252 0.252 0.686
Pb 0.748 0.748 0.314
Pb 0.990 0.990 0.717


[9]
For Mg4GaN, DFT lattice parameters and positions (PBE) gives the computed XRD peak list in this record (CuKα).
No peak broadening, texture or thermal motion is included.

Principal peaks in the range 5 to 70 degrees two-theta, in order of rising 2θ:
- d = 6.473 Å, 13.68°, intensity 30.3
- d = 4.941 Å, 17.95°, intensity 31.8
- d = 3.588 Å, 24.82°, intensity 51.8
- d = 3.214 Å, 27.76°, intensity 29.5
- d = 2.675 Å, 33.50°, intensity 50.1
- d = 2.528 Å, 35.51°, intensity 66.5
- d = 2.401 Å, 37.46°, intensity 93.0
- d = 2.363 Å, 38.09°, intensity 100.0
- d = 2.330 Å, 38.64°, intensity 85.8
- d = 1.544 Å, 59.90°, intensity 49.3

Cell and atoms:
abc: 5.345 6.039 7.228
angles: 104.47 111.59 90.08
Sites, in units of the cell vectors:
Mg 0.008 0.443 0.198
Mg 0.190 0.943 0.198
Mg 0.254 0.828 0.613
Mg 0.358 0.328 0.613
Mg 0.642 0.672 0.387
Mg 0.746 0.172 0.387
Mg 0.810 0.057 0.802
Mg 0.992 0.557 0.802
Ga 0.375 0.251 0.000
Ga 0.625 0.749 0.000
N 0.000 0.500 0.500
N 0.500 0.000 0.500


[10]
For CeMg6Al, DFT lattice parameters and positions (PBE) gives the computed XRD peak list in this record (CuKα).
No peak broadening, texture or thermal motion is included.

Principal peaks in the range 5 to 70 degrees two-theta, in order of rising 2θ:
- d = 6.121 Å, 14.47°, intensity 47.0
- d = 5.529 Å, 16.03°, intensity 67.6
- d = 5.037 Å, 17.61°, intensity 31.7
- d = 3.889 Å, 22.87°, intensity 32.5
- d = 3.723 Å, 23.90°, intensity 64.9
- d = 2.823 Å, 31.70°, intensity 42.8
- d = 2.764 Å, 32.39°, intensity 49.8
- d = 2.616 Å, 34.29°, intensity 80.6
- d = 2.518 Å, 35.65°, intensity 43.0
- d = 2.423 Å, 37.10°, intensity 100.0

Cell and atoms:
abc: 5.037 6.197 12.242
angles: 90.00 90.00 90.00
Sites, in units of the cell vectors:
Ce 0.000 0.000 0.000
Ce 0.000 0.500 0.500
Mg 0.000 0.245 0.745
Mg 0.000 0.255 0.245
Mg 0.000 0.745 0.245
Mg 0.000 0.755 0.745
Mg 0.500 0.000 0.161
Mg 0.500 0.000 0.615
Mg 0.500 0.248 0.888
Mg 0.500 0.252 0.388
Mg 0.500 0.500 0.115
Mg 0.500 0.500 0.661
Mg 0.500 0.748 0.388
Mg 0.500 0.752 0.888
Al 0.000 0.000 0.460
Al 0.000 0.500 0.960


[11]
For Na2Tl3Br4Cl2, DFT lattice parameters and positions (PBE) gives the computed XRD peak list in this record (CuKα).
No peak broadening, texture or thermal motion is included.

Principal peaks in the range 5 to 70 degrees two-theta, in order of rising 2θ:
- d = 5.273 Å, 16.82°, intensity 64.1
- d = 3.728 Å, 23.87°, intensity 83.3
- d = 3.653 Å, 24.37°, intensity 32.1
- d = 2.852 Å, 31.36°, intensity 100.0
- d = 2.693 Å, 33.27°, intensity 74.9
- d = 2.183 Å, 41.36°, intensity 41.2
- d = 2.152 Å, 41.98°, intensity 28.0
- d = 1.904 Å, 47.76°, intensity 26.9
- d = 1.681 Å, 54.59°, intensity 30.2
- d = 1.584 Å, 58.26°, intensity 34.6

Cell and atoms:
abc: 13.462 13.462 13.462
angles: 156.92 156.92 32.87
Sites, in units of the cell vectors:
Na 0.104 0.104 0.000
Na 0.896 0.896 0.000
Tl 0.317 0.317 0.000
Tl 0.500 0.500 0.000
Tl 0.683 0.683 0.000
Br 0.071 0.571 0.500
Br 0.429 0.929 0.500
Br 0.571 0.071 0.500
Br 0.929 0.429 0.500
Cl 0.206 0.206 0.000
Cl 0.794 0.794 0.000


[12]
For La10S19, DFT lattice parameters and positions (PBE) gives the computed XRD peak list in this record (CuKα).
No peak broadening, texture or thermal motion is included.

Principal peaks in the range 5 to 70 degrees two-theta, in order of rising 2θ:
- d = 4.093 Å, 21.71°, intensity 28.4
- d = 3.660 Å, 24.32°, intensity 100.0
- d = 2.893 Å, 30.91°, intensity 50.9
- d = 2.728 Å, 32.83°, intensity 31.7
- d = 2.363 Å, 38.09°, intensity 62.9
- d = 2.270 Å, 39.70°, intensity 40.6
- d = 2.046 Å, 44.27°, intensity 33.9
- d = 1.830 Å, 49.83°, intensity 20.8
- d = 1.786 Å, 51.15°, intensity 28.5
- d = 1.520 Å, 60.96°, intensity 29.6

Cell and atoms:
abc: 9.149 9.149 16.374
angles: 90.00 90.00 90.00
Sites, in units of the cell vectors:
La 0.041 0.348 0.122
La 0.056 0.353 0.601
La 0.147 0.056 0.899
La 0.152 0.041 0.378
La 0.250 0.750 0.113
La 0.250 0.750 0.613
La 0.348 0.459 0.378
La 0.353 0.444 0.899
La 0.444 0.147 0.601
La 0.459 0.152 0.122
La 0.541 0.848 0.878
La 0.556 0.853 0.399
La 0.647 0.556 0.101
La 0.652 0.541 0.622
La 0.750 0.250 0.387
La 0.750 0.250 0.887
La 0.848 0.959 0.622
La 0.853 0.944 0.101
La 0.944 0.647 0.399
La 0.959 0.652 0.878
S 0.030 0.802 0.249
S 0.049 0.349 0.424
S 0.054 0.352 0.938
S 0.081 0.891 0.750
S 0.109 0.581 0.250
S 0.148 0.054 0.562
S 0.151 0.049 0.076
S 0.198 0.530 0.749
S 0.250 0.250 0.250
S 0.250 0.750 0.433
S 0.250 0.750 0.933
S 0.302 0.970 0.749
S 0.349 0.451 0.076
S 0.352 0.446 0.562
S 0.391 0.919 0.250
S 0.419 0.609 0.750
S 0.446 0.148 0.938
S 0.451 0.151 0.424
S 0.470 0.698 0.249
S 0.530 0.302 0.751
S 0.549 0.849 0.576
S 0.554 0.852 0.062
S 0.581 0.391 0.250
S 0.609 0.081 0.750
S 0.648 0.554 0.438
S 0.651 0.549 0.924
S 0.698 0.030 0.251
S 0.750 0.250 0.067
S 0.750 0.250 0.567
S 0.750 0.750 0.750
S 0.802 0.470 0.251
S 0.849 0.951 0.924
S 0.852 0.946 0.438
S 0.891 0.419 0.750
S 0.919 0.109 0.250
S 0.946 0.648 0.062
S 0.951 0.651 0.576
S 0.970 0.198 0.751